No. 1
The following is a theoretical powder diffraction line list of SrLuNO. It was derived from a DFT-relaxed cell (PBE, OQMD), using λ = 1.5418 Å (Cu Kα).

Most intense lines, 2θ from 10° to 90°, by angle:
2θ 10.9, I = 39, hkl 0 1 0
2θ 25.3, I = 49, hkl 1 2 0
2θ 31.1, I = 100, hkl 1 2 1
2θ 31.2, I = 55, hkl 2 0 1
2θ 36.0, I = 37, hkl 0 0 2
2θ 44.5, I = 39, hkl 0 4 0
2θ 44.8, I = 38, hkl 3 2 0
2θ 55.4, I = 22, hkl 2 4 1
2θ 58.7, I = 33, hkl 3 2 2
2θ 61.6, I = 24, hkl 2 0 3

Structural model:
Cell lengths 6.9879, 8.1477, 4.9961 Å; angles 90.00, 90.00, 90.00 degrees
Space group Pca2_1 (No. 29)
Asymmetric unit:
Sr (0.0825, 0.1350, 0.0000) (multiplicity 4)
Lu (0.0884, 0.6136, 0.9915) (multiplicity 4)
N (0.0964, 0.6050, 0.5319) (multiplicity 4)
O (0.0594, 0.1474, 0.5055) (multiplicity 4)

=====

No. 2
The following is a theoretical powder diffraction line list of LuTaN2O. It was derived from a DFT-relaxed cell (PBE, OQMD), using λ = 1.5418 Å (Cu Kα).

Most intense lines, 2θ from 10° to 90°, by angle:
2θ 31.7, I = 28, hkl 2 2 0
2θ 32.4, I = 100, hkl 0 2 2
2θ 32.5, I = 33, hkl 2 0 -2
2θ 33.3, I = 31, hkl 2 -2 0
2θ 46.4, I = 15, hkl 0 0 4
2θ 46.5, I = 12, hkl 0 4 0
2θ 46.7, I = 10, hkl 4 0 0
2θ 58.3, I = 14, hkl -2 2 4
2θ 58.9, I = 14, hkl -2 4 2
2θ 59.0, I = 13, hkl -4 2 2

Structural model:
Cell lengths 7.7857, 7.8184, 7.8327 Å; angles 89.96, 89.90, 87.26 degrees
Space group P-1 (No. 2)
Asymmetric unit:
Lu (0.0190, 0.0417, 0.2521) (multiplicity 2)
Lu (0.0409, 0.5191, 0.2489) (multiplicity 2)
Lu (0.4480, 0.9796, 0.7502) (multiplicity 2)
Lu (0.4734, 0.4667, 0.7521) (multiplicity 2)
Ta (0.2378, 0.7538, 0.4937) (multiplicity 2)
Ta (0.2498, 0.2561, 0.4895) (multiplicity 2)
Ta (0.2539, 0.7553, 0.0150) (multiplicity 2)
Ta (0.2614, 0.2410, 0.0093) (multiplicity 2)
N (0.0006, 0.6957, 0.5617) (multiplicity 2)
N (0.1654, 0.7876, 0.2494) (multiplicity 2)
N (0.1929, 0.0041, 0.9338) (multiplicity 2)
N (0.2047, 0.0006, 0.5642) (multiplicity 2)
N (0.2941, 0.1744, 0.2520) (multiplicity 2)
N (0.2971, 0.5011, 0.0545) (multiplicity 2)
N (0.3113, 0.4989, 0.4432) (multiplicity 2)
N (0.4981, 0.8046, 0.0623) (multiplicity 2)
O (0.0020, 0.6976, 0.9263) (multiplicity 2)
O (0.2097, 0.3387, 0.7520) (multiplicity 2)
O (0.3374, 0.7152, 0.7465) (multiplicity 2)
O (0.4999, 0.1971, 0.5750) (multiplicity 2)

=====

No. 3
The following is a theoretical powder diffraction line list of LuTcNO. It was derived from a DFT-relaxed cell (PBE, OQMD), using λ = 1.5418 Å (Cu Kα).

Most intense lines, 2θ from 10° to 90°, by angle:
2θ 26.7, I = 81, hkl 1 0 1
2θ 33.9, I = 100, hkl 1 0 2
2θ 36.0, I = 32, hkl 0 0 3
2θ 36.1, I = 79, hkl 1 1 1
2θ 41.9, I = 39, hkl 1 1 2
2θ 48.9, I = 45, hkl 2 0 0
2θ 60.7, I = 41, hkl 1 1 4
2θ 60.8, I = 34, hkl 2 1 2
2θ 62.2, I = 27, hkl 2 0 3
2θ 82.9, I = 28, hkl 2 2 3

Structural model:
Cell lengths 3.7279, 3.7279, 7.4885 Å; angles 90.00, 90.00, 90.00 degrees
Space group P4/nmm (No. 129, origin choice 2)
Asymmetric unit:
Lu (0.2500, 0.2500, 0.1433) (multiplicity 2)
Tc (0.2500, 0.7500, 0.5000) (multiplicity 2)
N (0.2500, 0.2500, 0.6342) (multiplicity 2)
O (0.2500, 0.7500, 0.0000) (multiplicity 2)

=====

No. 4
The following is a theoretical powder diffraction line list of Lu2PN. It was derived from a DFT-relaxed cell (PBE, OQMD), using λ = 1.5418 Å (Cu Kα).

Most intense lines, 2θ from 10° to 90°, by angle:
2θ 28.8, I = 31, hkl 1 1 0
2θ 29.1, I = 23, hkl 0 0 12
2θ 29.7, I = 48, hkl 1 1 3
2θ 36.3, I = 100, hkl 1 1 9
2θ 41.4, I = 18, hkl 1 1 12
2θ 51.0, I = 32, hkl 3 0 0
2θ 59.8, I = 19, hkl 3 0 12
2θ 60.6, I = 19, hkl 1 1 21
2θ 64.2, I = 19, hkl 2 2 9
2θ 86.3, I = 17, hkl 4 1 9

Structural model:
Cell lengths 6.2049, 6.2049, 36.8414 Å; angles 90.00, 90.00, 120.00 degrees
Space group R-3c (No. 167, hexagonal axes)
Asymmetric unit:
Lu (0.9997, 0.3338, 0.2021) (multiplicity 36)
P (0.9995, 0.3333, 0.0833) (multiplicity 18)
N (0.0000, 0.0000, 0.0000) (multiplicity 6)
N (0.0000, 0.0000, 0.1666) (multiplicity 12)

=====

No. 5
The following is a theoretical powder diffraction line list of Lu3PbN2. It was derived from a DFT-relaxed cell (PBE, OQMD), using λ = 1.5418 Å (Cu Kα).

Most intense lines, 2θ from 10° to 90°, by angle:
2θ 30.1, I = 7, hkl 1 0 0
2θ 30.5, I = 15, hkl 1 0 1
2θ 32.9, I = 10, hkl 1 0 3
2θ 34.9, I = 100, hkl 0 0 8
2θ 37.4, I = 12, hkl 1 0 5
2θ 53.5, I = 22, hkl 1 1 0
2θ 62.6, I = 15, hkl 1 0 12
2θ 65.5, I = 34, hkl 1 1 8
2θ 86.9, I = 7, hkl 2 0 12
2θ 89.5, I = 12, hkl 2 1 4

Structural model:
Cell lengths 3.4236, 3.4236, 20.5545 Å; angles 90.00, 90.00, 120.00 degrees
Space group P6_3/mmc (No. 194)
Asymmetric unit:
Lu (0.0000, 0.0000, 0.0000) (multiplicity 2)
Lu (0.3333, 0.6667, 0.1260) (multiplicity 4)
Pb (0.0000, 0.0000, 0.2500) (multiplicity 2)
N (0.3333, 0.6667, 0.5686) (multiplicity 4)

=====

No. 6
The following is a theoretical powder diffraction line list of Lu4PbN3. It was derived from a DFT-relaxed cell (PBE, OQMD), using λ = 1.5418 Å (Cu Kα).

Most intense lines, 2θ from 10° to 90°, by angle:
2θ 30.5, I = 40, hkl 1 0 1
2θ 33.4, I = 76, hkl 1 0 4
2θ 34.5, I = 54, hkl 0 0 10
2θ 35.0, I = 100, hkl 1 0 5
2θ 36.9, I = 84, hkl 1 0 6
2θ 43.9, I = 16, hkl 1 0 9
2θ 53.8, I = 55, hkl 1 1 0
2θ 58.8, I = 16, hkl 1 0 14
2θ 62.2, I = 18, hkl 1 0 15
2θ 65.6, I = 53, hkl 1 1 10

Structural model:
Cell lengths 3.4051, 3.4051, 25.9614 Å; angles 90.00, 90.00, 120.00 degrees
Space group P6_3/mmc (No. 194)
Asymmetric unit:
Lu (0.0000, 0.0000, 0.1521) (multiplicity 4)
Lu (0.3333, 0.6667, 0.0505) (multiplicity 4)
Pb (0.3333, 0.6667, 0.2500) (multiplicity 2)
N (0.0000, 0.0000, 0.0000) (multiplicity 2)
N (0.3333, 0.6667, 0.6075) (multiplicity 4)

=====

No. 7
The following is a theoretical powder diffraction line list of Lu4Ta2S3N3. It was derived from a DFT-relaxed cell (PBE, OQMD), using λ = 1.5418 Å (Cu Kα).

Most intense lines, 2θ from 10° to 90°, by angle:
2θ 14.8, I = 21, hkl 0 0 2
2θ 29.9, I = 24, hkl 0 0 4
2θ 30.2, I = 15, hkl 0 2 0
2θ 30.3, I = 28, hkl 3 1 -1
2θ 31.1, I = 18, hkl 0 2 1
2θ 31.3, I = 37, hkl 3 1 0
2θ 37.9, I = 100, hkl 3 1 2
2θ 38.1, I = 50, hkl 3 1 -4
2θ 53.7, I = 28, hkl 3 3 -1
2θ 62.7, I = 26, hkl 3 1 6

Structural model:
Cell lengths 10.1881, 5.9217, 12.4244 Å; angles 90.00, 105.54, 90.00 degrees
Space group C2/c (No. 15)
Asymmetric unit:
Lu (0.1180, 0.0843, 0.1038) (multiplicity 8)
Lu (0.2161, 0.0822, 0.3962) (multiplicity 8)
Ta (0.0506, 0.4212, 0.9104) (multiplicity 8)
S (0.0000, 0.1104, 0.7500) (multiplicity 4)
S (0.1533, 0.4283, 0.2505) (multiplicity 8)
N (0.0844, 0.2458, 0.5004) (multiplicity 8)
N (0.2500, 0.2500, 0.0000) (multiplicity 4)